Diffraction record for Ag2PbCl8. The powder X-ray diffraction pattern is calculated, not measured: it uses DFT lattice parameters and positions (PBE) and Cu Kα, 1.54184 Å.
No peak broadening, texture or thermal motion is included.

Peak list (12 most intense, 2θ = 10–90°, in order of rising 2θ)
14.46 deg, I 61, (1 0 1); 22.82 deg, I 100, (1 1 2); 24.66 deg, I 19, (1 0 3); 25.45 deg, I 15, (2 0 0); 29.39 deg, I 38, (2 1 1); 35.73 deg, I 23, (2 1 3); 36.30 deg, I 22, (2 2 0); 38.37 deg, I 49, (2 0 4); 43.30 deg, I 39, (3 1 2); 46.86 deg, I 16, (1 1 6); 59.02 deg, I 15, (4 2 0); 60.67 deg, I 13, (3 1 6)

Structural model:
abc: 7.0005 7.0005 12.6441
angles: 90.00 90.00 90.00
Space group I422 (No. 97)
Symmetry-distinct sites (fractional):
Ag1 0.0000 0.5000 0.2500 [4 per cell]
Pb1 0.0000 0.0000 0.0000 [2 per cell]
Cl1 0.1687 0.3266 0.6210 [16 per cell]


Diffraction record for KPrPbO3. The powder X-ray diffraction pattern is calculated, not measured: it uses DFT lattice parameters and positions (PBE) and Cu Kα, 1.54184 Å.
No peak broadening, texture or thermal motion is included.

Peak list (12 most intense, 2θ = 10–90°, in order of rising 2θ)
12.57 deg, I 39, (1 0 0); 16.04 deg, I 36, (1 0 1); 27.36 deg, I 72, (2 0 1); 29.01 deg, I 95, (1 1 -1); 29.12 deg, I 36, (0 0 3); 31.19 deg, I 26, (0 1 2); 31.57 deg, I 71, (2 0 -2); 33.94 deg, I 100, (1 1 2); 45.89 deg, I 40, (3 1 0); 48.18 deg, I 25, (1 1 -4); 55.88 deg, I 30, (3 1 3); 60.11 deg, I 22, (2 2 -2)

Structural model:
abc: 7.0465 3.6668 9.2040
angles: 90.00 91.48 90.00
Space group P2_1/m (No. 11)
Symmetry-distinct sites (fractional):
K1 0.1031 0.2500 0.3158 [2 per cell]
Pr1 0.4111 0.2500 0.6561 [2 per cell]
Pb1 0.2596 0.7500 0.9644 [2 per cell]
O1 0.1468 0.2500 0.8194 [2 per cell]
O2 0.3141 0.7500 0.4987 [2 per cell]
O3 0.4863 0.2500 0.1842 [2 per cell]


Diffraction record for Ac2TbMg5. The powder X-ray diffraction pattern is calculated, not measured: it uses DFT lattice parameters and positions (PBE) and Cu Kα, 1.54184 Å.
No peak broadening, texture or thermal motion is included.

Peak list (12 most intense, 2θ = 10–90°, in order of rising 2θ)
10.88 deg, I 30, (0 0 2); 21.85 deg, I 35, (0 0 4); 23.20 deg, I 80, (1 1 0); 25.69 deg, I 27, (1 1 2); 32.08 deg, I 100, (1 1 4); 33.04 deg, I 53, (2 0 0); 39.97 deg, I 30, (2 0 4); 47.43 deg, I 24, (2 2 0); 50.83 deg, I 16, (1 1 8); 53.44 deg, I 16, (3 1 0); 56.58 deg, I 17, (2 0 8); 58.41 deg, I 37, (3 1 4)

Structural model:
abc: 5.4217 5.4217 16.2683
angles: 90.00 90.00 90.00
Space group I4/mmm (No. 139)
Symmetry-distinct sites (fractional):
Ac1 0.0000 0.0000 0.2411 [4 per cell]
Tb1 0.0000 0.0000 0.5000 [2 per cell]
Mg1 0.0000 0.0000 0.0000 [2 per cell]
Mg2 0.0000 0.5000 0.1062 [8 per cell]


Diffraction record for ThCo2Si2. The powder X-ray diffraction pattern is calculated, not measured: it uses DFT lattice parameters and positions (PBE) and Cu Kα, 1.54184 Å.
No peak broadening, texture or thermal motion is included.

Peak list (12 most intense, 2θ = 10–90°, in order of rising 2θ)
23.88 deg, I 84, (1 0 1); 35.71 deg, I 66, (1 0 3); 36.56 deg, I 100, (1 1 2); 37.34 deg, I 17, (0 0 4); 44.86 deg, I 39, (2 0 0); 51.45 deg, I 23, (2 1 1); 52.63 deg, I 19, (1 0 5); 58.62 deg, I 32, (2 1 3); 59.74 deg, I 17, (2 0 4); 66.84 deg, I 19, (1 1 6); 71.59 deg, I 16, (2 1 5); 77.24 deg, I 22, (3 1 2)

Structural model:
abc: 4.0411 4.0411 9.6332
angles: 90.00 90.00 90.00
Space group I4/mmm (No. 139)
Symmetry-distinct sites (fractional):
Th1 0.0000 0.0000 0.0000 [2 per cell]
Co1 0.0000 0.5000 0.2500 [4 per cell]
Si1 0.0000 0.0000 0.3667 [4 per cell]